[1]
Structure and simulated XRD peak list of RbW4S8 (a crystal structure in Alexandria, relaxed with PBE; Cu Ka).
Lines closer than 0.1° are merged.

Peak list (10 most intense, 10° ≤ 2θ ≤ 80°, sorted by position)
2θ (°)	I (rel.)	(hkl)
13.84	88.6	2 0 0
15.00	100.0	2 0 -2
19.89	32.0	0 0 2
22.55	32.8	4 0 -1
23.27	29.4	2 0 -3
31.82	89.3	3 1 -1
32.22	30.9	3 1 -2
39.84	57.9	3 1 1
40.45	36.6	5 1 -1
42.09	63.4	5 1 -4

Unit cell a=16.960 b=3.273 c=11.830 alpha=90.00 beta=131.02 gamma=90.00
Space group C2/m (No. 12)
Asymmetric unit:
Rb: 0.000 0.000 0.000 (multiplicity 2)
W: 0.172 0.000 0.483 (multiplicity 4)
W: 0.182 0.500 0.865 (multiplicity 4)
S: 0.043 0.000 0.741 (multiplicity 4)
S: 0.138 0.500 0.598 (multiplicity 4)
S: 0.145 0.500 0.310 (multiplicity 4)
S: 0.192 0.500 0.077 (multiplicity 4)

---

[2]
Structure and simulated XRD peak list of RbYS4 (a crystal structure in Alexandria, relaxed with PBE; Cu Ka).
Lines closer than 0.1° are merged.

Peak list (10 most intense, 10° ≤ 2θ ≤ 80°, sorted by position)
2θ (°)	I (rel.)	(hkl)
10.63	16.6	0 0 1
21.04	26.9	1 1 0
29.93	30.3	2 0 0
30.15	100.0	1 1 2
35.30	19.0	2 1 1
37.06	33.9	2 0 2
48.20	28.8	3 1 0
48.35	15.5	2 2 2
66.56	13.8	4 0 2
66.91	13.2	3 1 4

Unit cell a=5.970 b=5.970 c=8.326 alpha=90.00 beta=90.00 gamma=90.00
Space group P4/nbm (No. 125, origin choice 2)
Asymmetric unit:
Rb: 0.250 0.250 0.000 (multiplicity 2)
Y: 0.250 0.250 0.500 (multiplicity 2)
S: 0.125 0.625 0.304 (multiplicity 8)

---

[3]
Structure and simulated XRD peak list of RbYS (a crystal structure in Alexandria, relaxed with PBE; Cu Ka).
Lines closer than 0.1° are merged.

Peak list (10 most intense, 10° ≤ 2θ ≤ 80°, sorted by position)
2θ (°)	I (rel.)	(hkl)
18.70	15.6	0 0 3
23.57	18.5	1 1 -1
25.02	35.1	0 0 4
25.98	100.0	1 1 2
32.35	78.7	0 2 0
39.04	20.5	1 1 -5
39.20	20.3	1 1 5
41.32	17.3	0 2 4
46.40	27.5	2 2 0
53.92	19.5	1 3 2

Unit cell a=5.535 b=5.536 c=14.238 alpha=90.00 beta=90.33 gamma=90.00
Space group Cm (No. 8)
Asymmetric unit:
Rb: 0.000 0.000 0.000 (multiplicity 2)
Rb: 0.011 0.500 0.691 (multiplicity 2)
Y: 0.001 0.500 0.262 (multiplicity 2)
Y: 0.004 0.000 0.429 (multiplicity 2)
S: 0.001 0.000 0.236 (multiplicity 2)
S: 0.005 0.500 0.455 (multiplicity 2)

---

[4]
Structure and simulated XRD peak list of RbZn3S3 (a crystal structure in Alexandria, relaxed with PBE; Cu Ka).
Lines closer than 0.1° are merged.

Peak list (10 most intense, 10° ≤ 2θ ≤ 80°, sorted by position)
2θ (°)	I (rel.)	(hkl)
11.01	42.4	0 0 3
14.72	10.8	1 0 1
27.23	100.0	2 -1 3
33.48	81.4	0 0 9
42.10	23.3	1 1 9
43.71	60.9	3 0 0
52.22	34.9	1 1 12
56.15	49.1	3 0 9
70.44	12.3	5 -1 3
73.76	9.4	4 1 6

Unit cell a=7.1736 b=7.1736 c=24.1071 alpha=90.00 beta=90.00 gamma=120.00
Space group R-3 (No. 148, hexagonal axes)
Asymmetric unit:
Rb: 0.0000 0.0000 0.1666 (multiplicity 6)
Zn: 0.0026 0.3287 0.6246 (multiplicity 18)
S: 0.0018 0.3381 0.3961 (multiplicity 18)

---

[5]
Structure and simulated XRD peak list of Rb2Zn2S3 (a crystal structure in Alexandria, relaxed with PBE; Cu Ka).
Lines closer than 0.1° are merged.

Peak list (10 most intense, 10° ≤ 2θ ≤ 80°, sorted by position)
2θ (°)	I (rel.)	(hkl)
25.13	17.8	2 2 1
25.92	100.0	3 3 -1
27.29	35.8	1 1 -2
27.54	20.5	3 1 1
28.88	30.8	4 0 -2
30.40	53.3	5 1 0
33.43	72.6	2 4 1
38.05	24.8	0 6 0
44.29	19.1	4 0 2
53.92	17.7	7 3 1

Unit cell a=16.377 b=14.196 c=6.856 alpha=90.00 beta=113.44 gamma=90.00
Space group C2/c (No. 15)
Asymmetric unit:
Rb: 0.000 0.069 0.250 (multiplicity 4)
Rb: 0.000 0.209 0.750 (multiplicity 4)
Rb: 0.100 0.411 0.562 (multiplicity 8)
Zn: 0.196 0.226 0.263 (multiplicity 8)
Zn: 0.227 0.077 0.803 (multiplicity 8)
S: 0.125 0.365 0.086 (multiplicity 8)
S: 0.157 0.202 0.564 (multiplicity 8)
S: 0.178 0.072 0.094 (multiplicity 8)

---

[6]
Structure and simulated XRD peak list of Rb2ZrZnS4 (a crystal structure in Alexandria, relaxed with PBE; Cu Ka).
Lines closer than 0.1° are merged.

Peak list (10 most intense, 10° ≤ 2θ ≤ 80°, sorted by position)
2θ (°)	I (rel.)	(hkl)
24.74	27.5	2 0 0
25.55	100.0	1 1 2
35.27	22.9	2 2 0
44.05	40.9	3 1 2
45.52	27.8	2 0 4
52.49	10.0	2 2 4
57.23	11.5	2 4 0
57.64	9.2	3 3 2
69.41	10.2	1 5 2
72.33	9.0	1 3 6

Unit cell a=7.198 b=7.198 c=9.572 alpha=90.00 beta=90.00 gamma=90.00
Space group I-4 (No. 82)
Asymmetric unit:
Rb: 0.000 0.000 0.000 (multiplicity 2)
Rb: 0.000 0.500 0.250 (multiplicity 2)
Zr: 0.000 0.000 0.500 (multiplicity 2)
Zn: 0.000 0.500 0.750 (multiplicity 2)
S: 0.143 0.249 0.632 (multiplicity 8)

---

[7]
Structure and simulated XRD peak list of Rb5ZrS5 (a crystal structure in Alexandria, relaxed with PBE; Cu Ka).
Lines closer than 0.1° are merged.

Peak list (10 most intense, 10° ≤ 2θ ≤ 80°, sorted by position)
2θ (°)	I (rel.)	(hkl)
10.56	33.1	0 0 1
23.77	90.2	3 1 0
24.76	76.1	1 1 -2
27.14	73.8	4 0 -2
28.09	94.6	2 0 2
29.03	100.0	0 2 0
38.17	22.6	6 0 0
40.16	49.2	4 2 -2
40.84	65.8	2 2 2
48.66	21.9	6 2 0

Unit cell a=14.978 b=6.152 c=8.870 alpha=90.00 beta=109.17 gamma=90.00
Space group C2/m (No. 12)
Asymmetric unit:
Rb: 0.000 0.000 0.000 (multiplicity 2)
Rb: 0.173 0.500 0.346 (multiplicity 4)
Rb: 0.195 0.500 0.804 (multiplicity 4)
Zr: 0.000 0.000 0.500 (multiplicity 2)
S: 0.000 0.500 0.500 (multiplicity 2)
S: 0.125 0.000 0.364 (multiplicity 4)
S: 0.131 0.000 0.774 (multiplicity 4)

---

[8]
Structure and simulated XRD peak list of Rb14Zr2S9 (a crystal structure in Alexandria, relaxed with PBE; Cu Ka).
Lines closer than 0.1° are merged.

Peak list (10 most intense, 10° ≤ 2θ ≤ 80°, sorted by position)
2θ (°)	I (rel.)	(hkl)
12.67	12.1	0 1 1
22.54	16.1	2 0 1
23.09	100.0	1 1 2
28.53	13.6	1 2 0
29.36	47.8	3 -1 1
32.45	39.4	3 0 0
33.29	51.6	2 -1 4
45.30	12.2	1 2 5
48.46	16.0	2 3 1
48.74	11.6	0 4 3

Unit cell a=9.5591 b=9.5591 c=13.0250 alpha=90.00 beta=90.00 gamma=120.00
Space group P-3 (No. 147)
Asymmetric unit:
Rb: 0.0000 0.0000 0.2455 (multiplicity 2)
Rb: 0.0470 0.6786 0.4071 (multiplicity 6)
Rb: 0.0893 0.3921 0.0975 (multiplicity 6)
Zr: 0.3333 0.6667 0.7705 (multiplicity 2)
S: 0.0000 0.0000 0.5000 (multiplicity 1)
S: 0.1138 0.4074 0.8331 (multiplicity 6)
S: 0.3333 0.6667 0.5822 (multiplicity 2)